No. 1
Theoretical powder diffractogram
Compound: ThVFeSi2
Radiation: CuKα
Structure: DFT lattice parameters and positions (GGA-PBE)

Cell and atoms:
```
ThVFeSi2
1.0
-2.015 2.015 5.213
2.015 -2.015 5.213
2.015 2.015 -5.213
Th V Fe Si
1 1 1 2
Cartesian
0.000 0.000 0.000
2.015 0.000 2.606
0.000 2.015 2.606
0.000 0.000 3.941
0.000 0.000 6.485
```

Peak list (10 most intense, 10° ≤ 2θ ≤ 90°, in order of falling intensity)
- 35.91 deg, rel. 100
- 23.66 deg, rel. 82
- 34.06 deg, rel. 70
- 44.98 deg, rel. 36
- 57.60 deg, rel. 32
- 49.20 deg, rel. 26
- 51.44 deg, rel. 22
- 77.01 deg, rel. 21
- 68.85 deg, rel. 20
- 34.41 deg, rel. 19



No. 2
Theoretical powder diffractogram
Compound: Ti2FeSi2
Radiation: CuKα
Structure: DFT lattice parameters and positions (GGA-PBE)

Cell and atoms:
```
Ti2FeSi2
1.0
-1.824 2.498 3.818
1.824 -2.498 3.818
1.824 2.498 -3.818
Ti Fe Si
2 1 2
Cartesian
0.000 0.000 1.562
0.000 0.000 6.074
0.000 2.498 0.000
1.824 1.178 0.000
0.000 1.320 3.818
```

Peak list (10 most intense, 10° ≤ 2θ ≤ 90°, in order of falling intensity)
- 38.60 deg, rel. 100
- 45.59 deg, rel. 59
- 39.74 deg, rel. 35
- 50.00 deg, rel. 24
- 77.84 deg, rel. 23
- 43.31 deg, rel. 18
- 66.38 deg, rel. 16
- 47.64 deg, rel. 15
- 35.95 deg, rel. 14
- 65.69 deg, rel. 14



No. 3
Theoretical powder diffractogram
Compound: Tm2Fe15Si2
Radiation: CuKα
Structure: DFT lattice parameters and positions (GGA-PBE)

Cell and atoms:
```
Tm2Fe15Si2
1.0
8.280 0.000 0.000
-4.140 7.171 0.000
0.000 0.000 8.326
Tm Fe Si
4 30 4
Cartesian
0.000 0.000 2.081
0.000 0.000 6.244
0.000 4.781 2.081
4.140 2.390 6.244
-2.070 3.585 0.000
-2.070 3.585 4.163
-1.244 2.585 6.244
-2.524 4.801 6.244
0.000 2.390 0.094
0.000 2.390 4.069
-2.071 5.976 0.094
-2.071 5.976 4.069
1.244 2.585 6.244
-1.280 6.956 6.244
2.069 1.195 4.256
2.069 1.195 8.232
2.861 0.215 2.081
1.616 2.370 2.081
4.140 0.000 0.000
4.140 0.000 4.163
2.070 3.585 0.000
2.070 3.585 4.163
2.524 4.801 6.244
1.280 6.956 6.244
2.071 5.976 0.094
2.071 5.976 4.069
5.420 0.215 2.081
2.896 4.586 2.081
6.211 1.195 4.256
6.211 1.195 8.232
4.140 4.781 4.256
4.140 4.781 8.232
6.664 2.370 2.081
5.384 4.586 2.081
0.000 4.781 5.013
0.000 4.781 7.475
4.140 2.390 0.851
4.140 2.390 3.312
```

Peak list (10 most intense, 10° ≤ 2θ ≤ 90°, in order of falling intensity)
- 43.69 deg, rel. 100
- 30.45 deg, rel. 30
- 43.48 deg, rel. 24
- 37.63 deg, rel. 23
- 63.37 deg, rel. 14
- 72.10 deg, rel. 12
- 41.13 deg, rel. 12
- 79.94 deg, rel. 12
- 80.34 deg, rel. 10
- 63.51 deg, rel. 9



No. 4
Theoretical powder diffractogram
Compound: TmFeSi2
Radiation: CuKα
Structure: DFT lattice parameters and positions (GGA-PBE)

Cell and atoms:
```
TmFeSi2
1.0
6.693 0.000 0.000
0.000 3.911 0.000
0.000 0.000 9.670
Tm Fe Si
4 4 8
Cartesian
1.069 0.978 1.203
2.278 2.933 6.038
4.415 0.978 3.632
5.625 2.933 8.467
0.103 2.933 3.772
3.244 0.978 8.607
3.450 2.933 1.063
6.590 0.978 5.898
1.011 0.978 7.867
1.254 0.978 4.112
2.093 2.933 8.946
2.335 2.933 3.032
4.358 0.978 6.638
4.600 0.978 0.723
5.439 2.933 5.558
5.682 2.933 1.803
```

Peak list (10 most intense, 10° ≤ 2θ ≤ 90°, in order of falling intensity)
- 32.34 deg, rel. 100
- 35.30 deg, rel. 86
- 27.99 deg, rel. 72
- 22.69 deg, rel. 68
- 38.62 deg, rel. 62
- 37.19 deg, rel. 57
- 52.23 deg, rel. 52
- 46.44 deg, rel. 45
- 28.22 deg, rel. 42
- 38.79 deg, rel. 41



No. 5
Theoretical powder diffractogram
Compound: Tm2FeSi4
Radiation: CuKα
Structure: DFT lattice parameters and positions (GGA-PBE)

Cell and atoms:
```
Tm2FeSi4
1.0
3.960 0.000 0.000
0.000 2.037 7.445
0.000 -2.037 7.445
Tm Fe Si
2 1 4
Cartesian
0.000 0.000 0.000
1.980 0.000 3.012
0.000 0.000 11.854
0.000 0.000 5.349
0.000 0.000 9.603
1.980 0.000 7.995
1.980 0.000 12.804
```

Peak list (10 most intense, 10° ≤ 2θ ≤ 90°, in order of falling intensity)
- 36.46 deg, rel. 100
- 25.48 deg, rel. 50
- 37.41 deg, rel. 45
- 22.63 deg, rel. 43
- 32.09 deg, rel. 43
- 44.49 deg, rel. 24
- 60.59 deg, rel. 22
- 45.83 deg, rel. 22
- 43.02 deg, rel. 20
- 23.91 deg, rel. 19



No. 6
Theoretical powder diffractogram
Compound: Tm2Fe3Si4
Radiation: CuKα
Structure: DFT lattice parameters and positions (GGA-PBE)

Cell and atoms:
```
Tm2Fe3Si4
1.0
0.000 4.512 5.886
2.568 0.000 5.886
2.568 4.512 0.000
Tm Fe Si
2 3 4
Cartesian
2.568 4.512 1.597
2.568 4.512 10.174
1.284 2.256 0.000
1.284 2.256 5.886
2.568 4.512 5.886
2.568 2.904 4.041
2.568 2.904 7.730
2.568 6.120 4.041
2.568 6.120 7.730
```

Peak list (10 most intense, 10° ≤ 2θ ≤ 90°, in order of falling intensity)
- 30.33 deg, rel. 100
- 41.72 deg, rel. 87
- 40.41 deg, rel. 47
- 21.29 deg, rel. 42
- 36.45 deg, rel. 35
- 35.41 deg, rel. 34
- 46.96 deg, rel. 33
- 19.67 deg, rel. 29
- 39.96 deg, rel. 29
- 43.42 deg, rel. 27



No. 7
Theoretical powder diffractogram
Compound: UFe4Si2
Radiation: CuKα
Structure: DFT lattice parameters and positions (GGA-PBE)

Cell and atoms:
```
UFe4Si2
1.0
15.785 0.000 0.000
0.000 3.820 0.000
0.000 0.000 5.962
U Fe Si
4 16 8
Cartesian
2.189 0.955 0.115
5.703 2.865 3.096
10.082 0.955 2.866
13.596 2.865 5.846
0.550 2.865 0.894
1.139 0.955 3.017
2.855 2.865 1.730
2.983 2.865 4.203
4.910 0.955 1.222
5.038 0.955 4.711
6.753 2.865 0.036
7.342 0.955 3.875
8.443 2.865 2.087
9.032 0.955 5.926
10.747 2.865 1.251
10.875 2.865 4.740
12.802 0.955 1.759
12.930 0.955 4.232
14.646 2.865 2.945
15.235 0.955 5.068
0.662 2.865 4.380
3.434 0.955 2.998
4.459 2.865 0.017
7.230 0.955 1.399
8.555 2.865 4.563
11.326 0.955 5.945
12.351 2.865 2.964
15.123 0.955 1.582
```

Peak list (10 most intense, 10° ≤ 2θ ≤ 90°, in order of falling intensity)
- 40.03 deg, rel. 100
- 22.54 deg, rel. 28
- 15.89 deg, rel. 21
- 28.32 deg, rel. 20
- 42.88 deg, rel. 18
- 41.68 deg, rel. 18
- 47.61 deg, rel. 17
- 25.91 deg, rel. 16
- 76.63 deg, rel. 14
- 62.31 deg, rel. 13



No. 8
Theoretical powder diffractogram
Compound: U6Fe16Si7
Radiation: CuKα
Structure: DFT lattice parameters and positions (GGA-PBE)

Cell and atoms:
```
U6Fe16Si7
1.0
0.000 5.791 5.791
5.791 0.000 5.791
5.791 5.791 0.000
U Fe Si
6 16 7
Cartesian
5.791 5.791 2.514
5.791 2.514 5.791
9.067 5.791 5.791
2.514 5.791 5.791
5.791 9.067 5.791
5.791 5.791 9.067
7.217 4.365 4.365
1.839 1.839 1.839
3.952 3.952 1.839
3.952 1.839 3.952
4.388 4.388 4.388
7.194 7.194 4.388
7.194 4.388 7.194
1.839 3.952 3.952
9.553 7.820 7.820
4.365 7.217 4.365
4.365 4.365 7.217
7.217 7.217 7.217
7.820 9.553 7.820
7.820 7.820 9.553
9.553 9.553 9.553
4.388 7.194 7.194
2.895 2.895 0.036
2.895 0.036 2.895
5.755 2.895 2.895
0.036 2.895 2.895
2.895 5.755 2.895
2.895 2.895 5.755
5.791 5.791 5.791
```

Peak list (10 most intense, 10° ≤ 2θ ≤ 90°, in order of falling intensity)
- 44.24 deg, rel. 100
- 26.66 deg, rel. 90
- 40.47 deg, rel. 79
- 87.03 deg, rel. 33
- 38.06 deg, rel. 33
- 61.50 deg, rel. 25
- 30.88 deg, rel. 19
- 56.77 deg, rel. 19
- 34.64 deg, rel. 19
- 33.73 deg, rel. 18



No. 9
Theoretical powder diffractogram
Compound: UFe5Si3
Radiation: CuKα
Structure: DFT lattice parameters and positions (GGA-PBE)

Cell and atoms:
```
UFe5Si3
1.0
3.919 0.000 0.000
0.000 3.919 0.000
0.000 0.000 7.542
U Fe Si
1 5 3
Cartesian
0.000 0.000 0.000
0.000 1.960 2.352
0.000 1.960 5.190
1.960 0.000 2.352
1.960 0.000 5.190
1.960 1.960 3.771
0.000 0.000 3.771
1.960 1.960 1.187
1.960 1.960 6.355
```

Peak list (10 most intense, 10° ≤ 2θ ≤ 90°, in order of falling intensity)
- 40.39 deg, rel. 100
- 25.61 deg, rel. 78
- 46.33 deg, rel. 58
- 34.48 deg, rel. 50
- 42.73 deg, rel. 40
- 32.96 deg, rel. 39
- 81.80 deg, rel. 25
- 64.85 deg, rel. 23
- 53.69 deg, rel. 22
- 22.69 deg, rel. 19



No. 10
Theoretical powder diffractogram
Compound: VFe3Si4
Radiation: CuKα
Structure: DFT lattice parameters and positions (GGA-PBE)

Cell and atoms:
```
VFe3Si4
1.0
3.185 1.839 2.630
-3.185 1.839 2.630
0.000 -3.678 2.630
V Fe Si
1 3 4
Cartesian
0.000 0.000 0.000
-0.738 -1.480 4.065
-0.913 1.379 4.065
1.651 0.101 4.065
0.000 0.000 2.387
-1.560 -0.175 5.884
0.932 -1.264 5.884
0.628 1.439 5.884
```

Peak list (10 most intense, 10° ≤ 2θ ≤ 90°, in order of falling intensity)
- 44.68 deg, rel. 100
- 44.96 deg, rel. 78
- 49.44 deg, rel. 45
- 49.57 deg, rel. 26
- 28.01 deg, rel. 23
- 34.44 deg, rel. 21
- 49.04 deg, rel. 19
- 79.53 deg, rel. 14
- 86.00 deg, rel. 14
- 78.72 deg, rel. 14



No. 11
Theoretical powder diffractogram
Compound: Y3Fe4Si4
Radiation: CuKα
Structure: DFT lattice parameters and positions (GGA-PBE)

Cell and atoms:
```
Y3Fe4Si4
1.0
-3.558 3.558 3.558
3.558 -3.558 3.558
3.558 3.558 -3.558
Y Fe Si
3 4 4
Cartesian
3.558 0.000 0.000
0.000 3.558 0.000
0.000 0.000 3.558
2.646 2.646 -2.646
2.646 -2.646 2.646
0.912 0.912 0.912
-2.646 2.646 2.646
1.350 1.350 -1.350
1.350 -1.350 1.350
-1.350 1.350 1.350
2.208 2.208 2.208
```

Peak list (10 most intense, 10° ≤ 2θ ≤ 90°, in order of falling intensity)
- 35.69 deg, rel. 100
- 40.07 deg, rel. 82
- 30.78 deg, rel. 39
- 25.03 deg, rel. 37
- 47.83 deg, rel. 36
- 57.96 deg, rel. 33
- 44.09 deg, rel. 30
- 54.73 deg, rel. 29
- 64.11 deg, rel. 24
- 75.59 deg, rel. 23



No. 12
Theoretical powder diffractogram
Compound: Y3FeSi3
Radiation: CuKα
Structure: DFT lattice parameters and positions (GGA-PBE)

Cell and atoms:
```
Y3FeSi3
1.0
5.276 -2.082 0.000
5.276 2.082 0.000
-4.904 0.000 12.605
Y Fe Si
6 2 6
Cartesian
-1.611 0.000 4.785
-3.438 0.000 11.589
1.494 0.000 2.891
4.156 0.000 9.714
9.087 0.000 1.016
7.260 0.000 7.820
-0.185 0.000 7.364
5.834 0.000 5.241
1.484 0.000 5.748
-0.444 0.000 11.652
0.966 0.000 9.546
4.684 0.000 3.058
6.094 0.000 0.953
4.165 0.000 6.857
```

Peak list (10 most intense, 10° ≤ 2θ ≤ 90°, in order of falling intensity)
- 33.80 deg, rel. 100
- 33.48 deg, rel. 82
- 34.18 deg, rel. 79
- 43.47 deg, rel. 66
- 41.48 deg, rel. 56
- 33.63 deg, rel. 49
- 38.32 deg, rel. 42
- 23.21 deg, rel. 40
- 34.00 deg, rel. 39
- 27.53 deg, rel. 37